This entry pairs a crystal structure of Pr2Sm5Tl5 with its simulated powder diffraction line list. Radiation: Cu Kα X-rays. Structure: DFT lattice parameters and positions (PBE).
No peak broadening, texture or thermal motion is included.

Main lines, by angle (2θ from 10° to 90°):
two_theta, I/Imax
22.51, 5
24.56, 7
29.04, 17
29.52, 27
31.80, 100
33.05, 6
34.86, 29
37.41, 11
46.31, 16
60.60, 17

Cell and atoms:
a b c (Å): 6.5838 6.5838 12.7780
angles (deg): 107.16 107.16 46.02
Element x y z (fractional)
Pr 0.0606 0.0606 0.2649
Pr 0.9394 0.9394 0.7351
Sm 0.3445 0.3445 0.2068
Sm 0.3467 0.3467 0.4880
Sm 0.5000 0.5000 0.0000
Sm 0.6533 0.6533 0.5120
Sm 0.6555 0.6555 0.7932
Tl 0.0000 0.0000 0.5000
Tl 0.1564 0.1564 0.9690
Tl 0.2652 0.2652 0.7133
Tl 0.7348 0.7348 0.2867
Tl 0.8436 0.8436 0.0310